Record 1
Diffraction record for Pm3HoAl2. The powder diffraction line list is calculated, not measured: it uses DFT lattice parameters and positions (GGA-PBE) and Cu Kα (λ = 1.5418 Å).

Cell and atoms:
a b c (Å): 4.9270 15.1566 4.4330
angles (deg): 90.00 90.00 90.00
Fractional coordinates of all 12 atoms:
Pm1 0.0000 0.0000 0.0000
Pm2 0.0000 0.3242 0.0000
Pm3 0.0000 0.6758 0.0000
Pm4 0.5000 0.1758 0.0000
Pm5 0.5000 0.5000 0.0000
Pm6 0.5000 0.8242 0.0000
Ho1 0.0000 0.5000 0.5000
Ho2 0.5000 0.0000 0.5000
Al1 0.0000 0.1542 0.5000
Al2 0.0000 0.8458 0.5000
Al3 0.5000 0.3458 0.5000
Al4 0.5000 0.6542 0.5000

Main lines, by angle (2θ = 10–80°):
Position (°2θ)	I_rel
32.44	100
35.54	19
36.47	19
40.71	14
51.84	13
55.79	11
61.87	14
63.11	15
67.92	11
68.89	11

Record 2
Diffraction record for Pm3HoAl8. The powder diffraction line list is calculated, not measured: it uses DFT lattice parameters and positions (GGA-PBE) and Cu Kα (λ = 1.5418 Å).

Cell and atoms:
a b c (Å): 5.6206 5.6206 9.2511
angles (deg): 90.00 90.00 120.00
Fractional coordinates of all 12 atoms:
Pm1 0.0000 0.0000 0.0000
Pm2 0.0000 0.0000 0.3637
Pm3 0.3333 0.6667 0.8628
Ho1 0.3333 0.6667 0.4991
Al1 0.0090 0.5045 0.1829
Al2 0.3246 0.1623 0.6783
Al3 0.4955 0.5045 0.1829
Al4 0.4955 0.9910 0.1829
Al5 0.6667 0.3333 0.4320
Al6 0.6667 0.3333 0.9294
Al7 0.8377 0.1623 0.6783
Al8 0.8377 0.6754 0.6783

Main lines, by angle (2θ = 10–80°):
Position (°2θ)	I_rel
18.23	39
19.19	19
20.62	33
31.84	74
34.43	100
37.44	66
38.24	31
58.41	42
63.12	19
77.12	19

Record 3
Diffraction record for Pm4Ho15Al. The powder diffraction line list is calculated, not measured: it uses DFT lattice parameters and positions (GGA-PBE) and Cu Kα (λ = 1.5418 Å).

Cell and atoms:
a b c (Å): 3.6726 5.5957 30.5075
angles (deg): 90.00 90.00 90.00
Fractional coordinates of all 20 atoms:
Pm1 0.0000 0.0000 0.1107
Pm2 0.0000 0.0000 0.3195
Pm3 0.0000 0.0000 0.6805
Pm4 0.0000 0.0000 0.8893
Ho1 0.0000 0.5000 0.0000
Ho2 0.0000 0.5000 0.1866
Ho3 0.0000 0.5000 0.3930
Ho4 0.0000 0.5000 0.6070
Ho5 0.0000 0.5000 0.8134
Ho6 0.5000 0.0000 0.0000
Ho7 0.5000 0.0000 0.2173
Ho8 0.5000 0.0000 0.4209
Ho9 0.5000 0.0000 0.5791
Ho10 0.5000 0.0000 0.7827
Ho11 0.5000 0.5000 0.0894
Ho12 0.5000 0.5000 0.2884
Ho13 0.5000 0.5000 0.5000
Ho14 0.5000 0.5000 0.7116
Ho15 0.5000 0.5000 0.9106
Al1 0.0000 0.0000 0.5000

Main lines, by angle (2θ = 10–80°):
Position (°2θ)	I_rel
29.27	19
30.84	20
31.99	32
32.65	100
43.91	12
48.58	10
49.65	9
57.43	20
59.36	11
60.29	10

Record 4
Diffraction record for PmHoAl. The powder diffraction line list is calculated, not measured: it uses DFT lattice parameters and positions (GGA-PBE) and Cu Kα (λ = 1.5418 Å).

Cell and atoms:
a b c (Å): 4.9224 13.5835 4.9161
angles (deg): 90.00 90.00 90.00
Fractional coordinates of all 12 atoms:
Pm1 0.0000 0.1003 0.2500
Pm2 0.0000 0.8997 0.7500
Pm3 0.5000 0.3997 0.7500
Pm4 0.5000 0.6003 0.2500
Ho1 0.0000 0.3965 0.2500
Ho2 0.0000 0.6035 0.7500
Ho3 0.5000 0.1035 0.7500
Ho4 0.5000 0.8965 0.2500
Al1 0.0000 0.2506 0.7500
Al2 0.0000 0.7494 0.2500
Al3 0.5000 0.2494 0.2500
Al4 0.5000 0.7506 0.7500

Main lines, by angle (2θ = 10–80°):
Position (°2θ)	I_rel
26.24	23
26.45	42
32.46	100
36.53	41
45.54	21
52.62	14
54.12	18
55.14	15
59.76	14
63.20	29

Record 5
Diffraction record for Pm2Ho2Al. The powder diffraction line list is calculated, not measured: it uses DFT lattice parameters and positions (GGA-PBE) and Cu Kα (λ = 1.5418 Å).

Cell and atoms:
a b c (Å): 5.3769 5.3769 11.9487
angles (deg): 90.00 90.00 120.00
Fractional coordinates of all 10 atoms:
Pm1 0.3333 0.6667 0.0929
Pm2 0.3333 0.6667 0.4071
Pm3 0.6667 0.3333 0.5929
Pm4 0.6667 0.3333 0.9071
Ho1 0.0000 0.0000 0.0000
Ho2 0.0000 0.0000 0.5000
Ho3 0.3333 0.6667 0.7500
Ho4 0.6667 0.3333 0.2500
Al1 0.0000 0.0000 0.2500
Al2 0.0000 0.0000 0.7500

Main lines, by angle (2θ = 10–80°):
Position (°2θ)	I_rel
24.23	27
29.51	100
33.33	99
35.71	17
45.11	31
49.80	19
57.23	31
59.56	19
71.55	13
77.74	13

Record 6
Diffraction record for PrHo6Al2. The powder diffraction line list is calculated, not measured: it uses DFT lattice parameters and positions (GGA-PBE) and Cu Kα (λ = 1.5418 Å).

Cell and atoms:
a b c (Å): 14.2022 14.2022 14.2022
angles (deg): 160.64 160.64 27.51
Fractional coordinates of all 9 atoms:
Pr1 0.0000 0.0000 0.0000
Ho1 0.1437 0.6475 0.0000
Ho2 0.2500 0.7500 0.5000
Ho3 0.3525 0.3525 0.4962
Ho4 0.6475 0.1437 0.0000
Ho5 0.7500 0.2500 0.5000
Ho6 0.8563 0.8563 0.5038
Al1 0.3136 0.3136 0.0000
Al2 0.6864 0.6864 0.0000

Main lines, by angle (2θ = 10–80°):
Position (°2θ)	I_rel
19.30	35
25.83	27
27.19	100
29.44	23
32.91	50
37.27	28
39.96	66
50.55	19
54.33	18
61.80	20